Record 1
# Li3Ac3VO8
Calculated powder diffraction line list, Cu Kα. Input: a DFT-relaxed cell (PBE+U, Alexandria).
Kinematic intensities with the Lorentz-polarization factor, no thermal factor.

Atomic structure:
```
data_Li3Ac3VO8
_chemical_formula_sum 'Li3 Ac3 V1 O8'
_space_group_name_H-M_alt 'P 1'
_space_group_IT_number 1
_cell_length_a 6.3853
_cell_length_b 6.3853
_cell_length_c 6.5705
_cell_angle_alpha 112.28
_cell_angle_beta 112.28
_cell_angle_gamma 70.48
loop_
_space_group_symop_operation_xyz
'x,y,z'
loop_
_atom_site_label
_atom_site_fract_x
_atom_site_fract_y
_atom_site_fract_z
Li1 0.0000 0.0000 0.0000
Li2 0.0000 0.5000 0.5000
Li3 0.5000 0.0000 0.5000
Ac1 0.0000 0.5000 0.0000
Ac2 0.5000 0.0000 0.0000
Ac3 0.5000 0.5000 0.5000
V1 0.0000 0.0000 0.5000
O1 0.1989 0.7783 0.7073
O2 0.2085 0.2085 0.6968
O3 0.2217 0.8011 0.2927
O4 0.2457 0.2457 0.2334
O5 0.7543 0.7543 0.7667
O6 0.7783 0.1989 0.7073
O7 0.7915 0.7915 0.3032
O8 0.8011 0.2217 0.2927
```

Principal peaks in the range 10° ≤ 2θ ≤ 80°, by angle:
2θ/deg, Rel. int.
18.1, 100
28.7, 62
29.8, 30
31.0, 39
37.0, 48
39.0, 21
42.6, 21
58.8, 21

---

Record 2
# Li3AcV4O12
Calculated powder diffraction line list, Cu Kα. Input: a DFT-relaxed cell (PBE+U, Alexandria).
Kinematic intensities with the Lorentz-polarization factor, no thermal factor.

Atomic structure:
```
data_Li3AcV4O12
_chemical_formula_sum 'Li3 Ac1 V4 O12'
_space_group_name_H-M_alt 'P 1'
_space_group_IT_number 1
_cell_length_a 6.8938
_cell_length_b 6.8938
_cell_length_c 6.8938
_cell_angle_alpha 109.32
_cell_angle_beta 109.32
_cell_angle_gamma 109.32
loop_
_space_group_symop_operation_xyz
'x,y,z'
loop_
_atom_site_label
_atom_site_fract_x
_atom_site_fract_y
_atom_site_fract_z
Li1 0.0000 0.5667 0.4333
Li2 0.4333 0.0000 0.5667
Li3 0.5667 0.4333 0.0000
Ac1 0.0000 0.0000 0.0000
V1 0.0650 0.5000 0.9350
V2 0.5000 0.5000 0.5000
V3 0.5000 0.9350 0.0650
V4 0.9350 0.0650 0.5000
O1 0.0827 0.9173 0.5000
O2 0.0881 0.6675 0.7867
O3 0.2133 0.3325 0.9119
O4 0.3325 0.9119 0.2133
O5 0.3473 0.6527 0.5000
O6 0.5000 0.0827 0.9173
O7 0.5000 0.3473 0.6527
O8 0.6527 0.5000 0.3473
O9 0.6675 0.7867 0.0881
O10 0.7867 0.0881 0.6675
O11 0.9119 0.2133 0.3325
O12 0.9173 0.5000 0.0827
```

Principal peaks in the range 10° ≤ 2θ ≤ 80°, by angle:
2θ/deg, Rel. int.
15.7, 100
27.3, 21
27.4, 50
31.6, 41
31.8, 25
35.5, 27
35.7, 30
42.5, 23

---

Record 3
# Li2AcV2O7
Calculated powder diffraction line list, Cu Kα. Input: a DFT-relaxed cell (PBE+U, Alexandria).
Kinematic intensities with the Lorentz-polarization factor, no thermal factor.

Atomic structure:
```
data_Li2AcV2O7
_chemical_formula_sum 'Li2 Ac1 V2 O7'
_space_group_name_H-M_alt 'P 1'
_space_group_IT_number 1
_cell_length_a 8.5705
_cell_length_b 8.5705
_cell_length_c 8.5705
_cell_angle_alpha 37.41
_cell_angle_beta 37.41
_cell_angle_gamma 37.41
loop_
_space_group_symop_operation_xyz
'x,y,z'
loop_
_atom_site_label
_atom_site_fract_x
_atom_site_fract_y
_atom_site_fract_z
Li1 0.2477 0.2477 0.2477
Li2 0.7523 0.7523 0.7523
Ac1 0.5000 0.5000 0.5000
V1 0.0756 0.0756 0.0756
V2 0.9244 0.9244 0.9244
O1 0.0000 0.0000 0.0000
O2 0.0850 0.4103 0.8081
O3 0.1919 0.5897 0.9150
O4 0.4103 0.8081 0.0850
O5 0.5897 0.9150 0.1919
O6 0.8081 0.0850 0.4103
O7 0.9150 0.1919 0.5897
```

Principal peaks in the range 10° ≤ 2θ ≤ 80°, by angle:
2θ/deg, Rel. int.
11.1, 73
20.1, 100
23.9, 34
26.4, 52
32.3, 36
32.6, 36
42.4, 22
47.6, 21

---

Record 4
# Li2AcWO6
Calculated powder diffraction line list, Cu Kα. Input: a DFT-relaxed cell (PBE+U, Alexandria).
Kinematic intensities with the Lorentz-polarization factor, no thermal factor.

Atomic structure:
```
data_Li2AcWO6
_chemical_formula_sum 'Li4 Ac2 W2 O12'
_space_group_name_H-M_alt 'P 1'
_space_group_IT_number 1
_cell_length_a 5.6312
_cell_length_b 5.4009
_cell_length_c 9.8435
_cell_angle_alpha 90.00
_cell_angle_beta 122.77
_cell_angle_gamma 90.00
loop_
_space_group_symop_operation_xyz
'x,y,z'
loop_
_atom_site_label
_atom_site_fract_x
_atom_site_fract_y
_atom_site_fract_z
Li1 0.1945 0.0200 0.2381
Li2 0.1945 0.4800 0.7381
Li3 0.8055 0.5200 0.2619
Li4 0.8055 0.9800 0.7619
Ac1 0.0000 0.0000 0.5000
Ac2 0.0000 0.5000 0.0000
W1 0.5000 0.0000 0.0000
W2 0.5000 0.5000 0.5000
O1 0.1678 0.1049 0.7900
O2 0.1678 0.3951 0.2900
O3 0.2589 0.6045 0.5711
O4 0.2589 0.8955 0.0711
O5 0.4968 0.6643 0.9176
O6 0.4968 0.8357 0.4176
O7 0.5032 0.1643 0.5824
O8 0.5032 0.3357 0.0824
O9 0.7411 0.1045 0.9289
O10 0.7411 0.3955 0.4289
O11 0.8322 0.6049 0.7100
O12 0.8322 0.8951 0.2100
```

Principal peaks in the range 10° ≤ 2θ ≤ 80°, by angle:
2θ/deg, Rel. int.
21.5, 63
22.8, 100
31.1, 46
31.8, 24
31.9, 42
33.2, 23
39.9, 24
49.3, 17

---

Please write out number 3 again, unchanged.
# Li2AcV2O7
Calculated powder diffraction line list, Cu Kα. Input: a DFT-relaxed cell (PBE+U, Alexandria).
Kinematic intensities with the Lorentz-polarization factor, no thermal factor.

Atomic structure:
```
data_Li2AcV2O7
_chemical_formula_sum 'Li2 Ac1 V2 O7'
_space_group_name_H-M_alt 'P 1'
_space_group_IT_number 1
_cell_length_a 8.5705
_cell_length_b 8.5705
_cell_length_c 8.5705
_cell_angle_alpha 37.41
_cell_angle_beta 37.41
_cell_angle_gamma 37.41
loop_
_space_group_symop_operation_xyz
'x,y,z'
loop_
_atom_site_label
_atom_site_fract_x
_atom_site_fract_y
_atom_site_fract_z
Li1 0.2477 0.2477 0.2477
Li2 0.7523 0.7523 0.7523
Ac1 0.5000 0.5000 0.5000
V1 0.0756 0.0756 0.0756
V2 0.9244 0.9244 0.9244
O1 0.0000 0.0000 0.0000
O2 0.0850 0.4103 0.8081
O3 0.1919 0.5897 0.9150
O4 0.4103 0.8081 0.0850
O5 0.5897 0.9150 0.1919
O6 0.8081 0.0850 0.4103
O7 0.9150 0.1919 0.5897
```

Principal peaks in the range 10° ≤ 2θ ≤ 80°, by angle:
2θ/deg, Rel. int.
11.1, 73
20.1, 100
23.9, 34
26.4, 52
32.3, 36
32.6, 36
42.4, 22
47.6, 21

---

Repeat the third record exactly.
# Li2AcV2O7
Calculated powder diffraction line list, Cu Kα. Input: a DFT-relaxed cell (PBE+U, Alexandria).
Kinematic intensities with the Lorentz-polarization factor, no thermal factor.

Atomic structure:
```
data_Li2AcV2O7
_chemical_formula_sum 'Li2 Ac1 V2 O7'
_space_group_name_H-M_alt 'P 1'
_space_group_IT_number 1
_cell_length_a 8.5705
_cell_length_b 8.5705
_cell_length_c 8.5705
_cell_angle_alpha 37.41
_cell_angle_beta 37.41
_cell_angle_gamma 37.41
loop_
_space_group_symop_operation_xyz
'x,y,z'
loop_
_atom_site_label
_atom_site_fract_x
_atom_site_fract_y
_atom_site_fract_z
Li1 0.2477 0.2477 0.2477
Li2 0.7523 0.7523 0.7523
Ac1 0.5000 0.5000 0.5000
V1 0.0756 0.0756 0.0756
V2 0.9244 0.9244 0.9244
O1 0.0000 0.0000 0.0000
O2 0.0850 0.4103 0.8081
O3 0.1919 0.5897 0.9150
O4 0.4103 0.8081 0.0850
O5 0.5897 0.9150 0.1919
O6 0.8081 0.0850 0.4103
O7 0.9150 0.1919 0.5897
```

Principal peaks in the range 10° ≤ 2θ ≤ 80°, by angle:
2θ/deg, Rel. int.
11.1, 73
20.1, 100
23.9, 34
26.4, 52
32.3, 36
32.6, 36
42.4, 22
47.6, 21